1.
This entry pairs a crystal structure of CsRb2Cd2Sb2 with its theoretical X-ray powder pattern. Radiation: Cu Kα. Structure: a DFT-relaxed cell (PBE, Alexandria).
No peak broadening, texture or thermal motion is included.

Cell and atoms:
Lattice parameters (Å, degrees): 4.9319 4.9319 47.8845 90.00 90.00 120.00
Space group R-3m (No. 166, hexagonal axes)
Asymmetric unit:
Cs: 0.0000 0.0000 0.0000 [3 per cell]
Rb: 0.0000 0.0000 0.1206 [6 per cell]
Cd: 0.0000 0.0000 0.3964 [6 per cell]
Sb: 0.0000 0.0000 0.2704 [6 per cell]

Peak list (10 most intense, 2θ from 10° to 90°, low angle first)
2θ (°), I/Imax, index
11.09, 46, 0 0 6
24.57, 80, 1 0 7
25.62, 100, 0 1 8
27.97, 69, 0 0 15
36.43, 83, 1 1 0
45.07, 21, 2 0 8
46.54, 63, 1 1 15
50.46, 30, 1 1 18
59.29, 19, 1 2 8
76.11, 16, 1 1 33


2.
This entry pairs a crystal structure of Ca4Ta3ZnN8 with its theoretical X-ray powder pattern. Radiation: Cu Kα. Structure: a DFT-relaxed cell (PBE, Alexandria).
No peak broadening, texture or thermal motion is included.

Cell and atoms:
Lattice parameters (Å, degrees): 6.4286 6.4286 16.5600 90.00 90.00 120.00
Space group R-3m (No. 166, hexagonal axes)
Asymmetric unit:
Ca: 0.0000 0.0000 0.0000 [3 per cell]
Ca: 0.0000 0.5000 0.0000 [9 per cell]
Ta: 0.0000 0.5000 0.5000 [9 per cell]
Zn: 0.0000 0.0000 0.5000 [3 per cell]
N: 0.0000 0.0000 0.2379 [6 per cell]
N: 0.0182 0.5091 0.7634 [18 per cell]

Peak list (10 most intense, 2θ from 10° to 90°, low angle first)
2θ (°), I/Imax, index
16.06, 82, 0 0 3
32.44, 33, 0 0 6
32.62, 39, 0 2 1
33.98, 86, 2 0 2
38.99, 100, 0 2 4
42.42, 17, 2 0 5
55.31, 33, 2 0 8
57.33, 31, 2 2 0
59.95, 17, 2 2 3
67.43, 25, 2 2 6


3.
This entry pairs a crystal structure of Tm2ThPb3 with its theoretical X-ray powder pattern. Radiation: Cu Kα. Structure: a DFT-relaxed cell (PBE, Alexandria).
No peak broadening, texture or thermal motion is included.

Cell and atoms:
Lattice parameters (Å, degrees): 4.8241 10.0445 7.2967 90.00 90.00 90.00
Space group Pmc2_1 (No. 26)
Asymmetric unit:
Tm: 0.0000 0.0008 0.0000 [2 per cell]
Tm: 0.5000 0.2130 0.2520 [2 per cell]
Th: 0.5000 0.4298 0.7521 [2 per cell]
Pb: 0.0000 0.3384 0.4718 [2 per cell]
Pb: 0.0000 0.3386 0.0325 [2 per cell]
Pb: 0.5000 0.1005 0.7495 [2 per cell]

Peak list (10 most intense, 2θ from 10° to 90°, low angle first)
2θ (°), I/Imax, index
29.35, 24, 0 3 1
30.73, 100, 1 0 2
32.55, 42, 1 3 0
34.86, 33, 1 3 1
36.42, 29, 0 3 2
37.28, 32, 2 0 0
50.03, 22, 0 0 4
53.10, 20, 2 3 2
60.91, 21, 0 6 2
63.19, 13, 3 0 2


4.
This entry pairs a crystal structure of BaAc2HgSe5 with its theoretical X-ray powder pattern. Radiation: Cu Kα. Structure: a DFT-relaxed cell (PBE, Alexandria).
No peak broadening, texture or thermal motion is included.

Cell and atoms:
Lattice parameters (Å, degrees): 8.5858 8.5858 15.2425 90.00 90.00 90.00
Space group I4/mcm (No. 140)
Asymmetric unit:
Ba: 0.0000 0.0000 0.2500 [4 per cell]
Ac: 0.1587 0.3413 0.0000 [8 per cell]
Hg: 0.0000 0.5000 0.2500 [4 per cell]
Se: 0.0000 0.0000 0.0000 [4 per cell]
Se: 0.1567 0.3433 0.3685 [16 per cell]

Peak list (10 most intense, 2θ from 10° to 90°, low angle first)
2θ (°), I/Imax, index
14.59, 20, 1 1 0
23.34, 22, 0 0 4
23.79, 52, 2 0 2
29.15, 100, 2 1 3
29.42, 25, 2 2 0
31.39, 18, 2 0 4
32.99, 23, 3 1 0
35.09, 30, 3 1 2
37.68, 40, 2 1 5
43.83, 19, 4 0 2


5.
This entry pairs a crystal structure of V4CoPt5 with its theoretical X-ray powder pattern. Radiation: Cu Kα. Structure: a DFT-relaxed cell (PBE, Alexandria).
No peak broadening, texture or thermal motion is included.

Cell and atoms:
Lattice parameters (Å, degrees): 2.7058 3.8676 13.5012 90.00 90.00 90.00
Space group Pmmm (No. 47)
Asymmetric unit:
V: 0.0000 0.0000 0.0998 [2 per cell]
V: 0.0000 0.0000 0.3038 [2 per cell]
Co: 0.0000 0.0000 0.5000 [1 per cell]
Pt: 0.5000 0.5000 0.0000 [1 per cell]
Pt: 0.5000 0.5000 0.2004 [2 per cell]
Pt: 0.5000 0.5000 0.4014 [2 per cell]

Peak list (10 most intense, 2θ from 10° to 90°, low angle first)
2θ (°), I/Imax, index
23.00, 34, 0 1 0
33.14, 28, 1 0 0
40.72, 100, 1 1 0
46.99, 17, 0 2 0
47.57, 32, 1 0 5
53.48, 16, 1 1 5
69.10, 21, 1 2 5
82.98, 13, 1 3 0
83.79, 12, 2 1 5
83.91, 12, 1 1 10


6.
This entry pairs a crystal structure of Cu5Pt3 with its theoretical X-ray powder pattern. Radiation: Cu Kα. Structure: a DFT-relaxed cell (PBE, Alexandria).
No peak broadening, texture or thermal motion is included.

Cell and atoms:
Lattice parameters (Å, degrees): 9.0546 5.4875 4.5008 90.00 105.30 90.00
Space group C2/m (No. 12)
Asymmetric unit:
Cu: 0.0000 0.0000 0.0000 [2 per cell]
Cu: 0.0000 0.2457 0.5000 [4 per cell]
Cu: 0.2500 0.2500 0.0000 [4 per cell]
Pt: 0.0000 0.5000 0.0000 [2 per cell]
Pt: 0.2471 0.0000 0.4938 [4 per cell]

Peak list (10 most intense, 2θ from 10° to 90°, low angle first)
2θ (°), I/Imax, index
24.81, 30, 2 0 -1
32.67, 30, 0 2 0
41.35, 51, 4 0 0
41.43, 100, 2 2 -1
41.61, 49, 0 0 2
46.87, 70, 2 2 1
50.89, 27, 4 0 -2
71.50, 19, 6 2 -1
71.85, 19, 2 2 -3
83.17, 26, 4 4 0


7.
This entry pairs a crystal structure of Nd2H2Pt3 with its theoretical X-ray powder pattern. Radiation: Cu Kα. Structure: a DFT-relaxed cell (PBE, Alexandria).
No peak broadening, texture or thermal motion is included.

Cell and atoms:
Lattice parameters (Å, degrees): 4.5746 3.7775 7.1311 90.00 95.86 90.00
Space group P2/m (No. 10)
Asymmetric unit:
Nd: 0.2132 0.0000 0.2697 [2 per cell]
H: 0.1606 0.5000 0.8543 [2 per cell]
Pt: 0.2724 0.5000 0.6188 [2 per cell]
Pt: 0.5000 0.5000 0.0000 [1 per cell]

Peak list (10 most intense, 2θ from 10° to 90°, low angle first)
2θ (°), I/Imax, index
30.76, 24, 1 1 0
32.52, 100, 1 1 -1
33.58, 32, 1 0 2
34.09, 30, 1 1 1
34.69, 45, 0 1 2
38.06, 20, 0 0 3
40.37, 29, 2 0 -1
41.19, 33, 1 0 -3
41.43, 37, 1 1 2
48.18, 27, 0 2 0


8.
This entry pairs a crystal structure of K17Rb11Na with its theoretical X-ray powder pattern. Radiation: Cu Kα. Structure: a DFT-relaxed cell (PBE, Alexandria).
No peak broadening, texture or thermal motion is included.

Cell and atoms:
Lattice parameters (Å, degrees): 16.6175 23.8590 13.8214 90.00 123.99 90.00
Space group Cm (No. 8)
Asymmetric unit:
K: 0.0000 0.0000 0.0000 [2 per cell]
K: 0.0041 0.3035 0.3238 [4 per cell]
K: 0.0216 0.3674 0.9737 [4 per cell]
K: 0.0886 0.5000 0.2823 [2 per cell]
K: 0.1844 0.2051 0.6720 [4 per cell]
K: 0.2851 0.0000 0.7066 [2 per cell]
K: 0.3015 0.3079 0.0052 [4 per cell]
K: 0.3081 0.3494 0.3871 [4 per cell]
K: 0.3434 0.0000 0.3628 [2 per cell]
K: 0.4061 0.1556 0.5814 [4 per cell]
K: 0.4731 0.5000 0.6303 [2 per cell]
Rb: 0.0582 0.0947 0.3617 [4 per cell]
Rb: 0.1634 0.1955 0.1860 [4 per cell]
Rb: 0.1971 0.4077 0.6569 [4 per cell]
Rb: 0.2630 0.5000 0.0963 [2 per cell]
Rb: 0.2712 0.0933 0.0000 [4 per cell]
Rb: 0.4732 0.3133 0.7890 [4 per cell]
Na: 0.0349 0.5000 0.7503 [2 per cell]

Peak list (10 most intense, 2θ from 10° to 90°, low angle first)
2θ (°), I/Imax, index
22.39, 49, 4 0 -1
22.47, 73, 1 5 1
22.73, 100, 1 5 -2
22.79, 43, 1 3 2
23.22, 73, 4 0 -3
24.83, 93, 2 6 -1
25.11, 68, 2 0 2
26.16, 42, 2 0 -4
26.97, 36, 3 5 0
37.70, 40, 0 10 0